For MgMoO9, the PBE+U geometry in Alexandria gives the computed powder diffractogram in this record (λ = 1.5418 Å (Cu Kα)).
Peak positions follow from Bragg's law for the DFT cell and can differ from measured ones.

The 12 most intense peaks (5° ≤ 2θ ≤ 70°), low angle first:
| d (Å) | 2θ (°) | I/Imax |
| --- | --- | --- |
| 10.812 | 8.18 | 45 |
| 5.991 | 14.79 | 84 |
| 5.700 | 15.55 | 73 |
| 4.555 | 19.49 | 42 |
| 4.326 | 20.53 | 40 |
| 3.879 | 22.93 | 36 |
| 3.853 | 23.08 | 28 |
| 3.721 | 23.92 | 100 |
| 3.604 | 24.70 | 52 |
| 3.184 | 28.02 | 42 |
| 2.996 | 29.83 | 47 |
| 2.674 | 33.51 | 23 |

Cell and atoms:
Unit cell a=5.723 b=6.502 c=11.014 alpha=79.23 beta=87.08 gamma=85.34
Space group P-1 (No. 2)
Asymmetric unit:
Mg 0.000 0.000 0.000 (multiplicity 1)
Mg 0.500 0.500 0.500 (multiplicity 1)
Mo 0.012 0.227 0.680 (multiplicity 2)
O 0.016 0.804 0.149 (multiplicity 2)
O 0.076 0.978 0.645 (multiplicity 2)
O 0.119 0.726 0.889 (multiplicity 2)
O 0.246 0.390 0.621 (multiplicity 2)
O 0.248 0.565 0.920 (multiplicity 2)
O 0.260 0.661 0.387 (multiplicity 2)
O 0.402 0.209 0.281 (multiplicity 2)
O 0.413 0.061 0.009 (multiplicity 2)
O 0.434 0.201 0.392 (multiplicity 2)